For Rb2TaCuSe4, DFT lattice parameters and positions (GGA-PBE) gives the calculated PXRD pattern in this record (Cu Kα (weighted mean of Kα1 and Kα2)).

Cell and atoms:
```
Rb2TaCuSe4
1.0
5.8024 0.0000 0.0000
2.9012 7.1473 0.0000
2.9012 0.0000 12.6049
Rb Ta Cu Se
4 2 2 8
Cartesian
0.0000 0.0000 0.0000
4.3606 3.5957 9.9445
2.9467 0.0824 3.6191
7.2856 3.6602 6.3367
2.8833 0.0478 8.0801
7.3168 3.6021 1.7799
4.3267 3.6222 1.8167
5.8159 0.0399 8.0591
2.8503 5.0470 3.2137
4.4100 5.7479 6.6868
2.9026 2.2500 0.3834
4.3177 1.4250 6.7584
7.2497 5.8155 9.4589
5.8942 5.0560 0.4055
5.8213 2.1904 3.1816
7.3004 1.4928 9.4957
```

Principal peaks in the range 2θ from 5° to 70°, low angle first:
2θ (°)	intensity
14.1	73
14.2	95
24.4	46
24.6	70
26.4	51
30.1	100
37.7	57
49.5	38

---

For Rb2TaCuSe2, DFT lattice parameters and positions (GGA-PBE) gives the calculated PXRD pattern in this record (Cu Kα (weighted mean of Kα1 and Kα2)).

Cell and atoms:
```
Rb2TaCuSe2
1.0
0.0000 6.2895 22.8659
2.8247 0.0000 22.8659
2.8247 6.2895 0.0000
Rb Ta Cu Se
8 4 4 8
Cartesian
1.8669 3.0631 7.7817
3.7825 6.2078 19.2147
2.3701 6.3712 7.7817
2.3701 3.0631 26.5171
3.2793 9.5160 19.2147
3.2793 6.2078 37.9501
1.8669 6.3712 26.5171
3.7825 9.5160 37.9501
0.0000 0.0000 0.0000
1.4123 3.1448 0.0000
1.4123 0.0000 11.4330
0.0000 3.1448 11.4330
2.8247 3.1448 11.4330
1.4123 6.2895 11.4330
1.4123 3.1448 22.8659
2.8247 6.2895 22.8659
3.2735 3.3243 20.6202
3.2735 6.1100 13.6787
4.6858 6.4690 25.1116
0.9636 3.3243 13.6787
4.6858 9.2548 32.0532
0.9636 6.1100 20.6202
2.3759 6.4690 32.0532
2.3759 9.2548 25.1116
```

Principal peaks in the range 2θ from 5° to 70°, low angle first:
2θ (°)	intensity
7.7	100
22.0	19
23.3	13
28.4	34
29.9	10
36.8	28
40.2	15
55.9	10

---

For RbTiCu3Se4, DFT lattice parameters and positions (GGA-PBE) gives the calculated PXRD pattern in this record (Cu Kα (weighted mean of Kα1 and Kα2)).

Cell and atoms:
```
RbTiCu3Se4
1.0
6.2020 0.0000 0.0000
0.0000 6.2020 0.0000
0.0000 0.0000 6.2020
Rb Ti Cu Se
1 1 3 4
Cartesian
0.0000 0.0000 0.0000
3.1010 3.1010 3.1010
0.0000 3.1010 3.1010
3.1010 0.0000 3.1010
3.1010 3.1010 0.0000
1.7340 1.7340 4.4681
1.7340 4.4681 1.7340
4.4681 1.7340 1.7340
4.4681 4.4681 4.4681
```

Principal peaks in the range 2θ from 5° to 70°, low angle first:
2θ (°)	intensity
14.3	15
20.2	10
24.9	100
35.5	12
41.2	97
48.7	41
59.6	13
65.6	13

---

For RbVCu3Se4, DFT lattice parameters and positions (GGA-PBE) gives the calculated PXRD pattern in this record (Cu Kα (weighted mean of Kα1 and Kα2)).

Cell and atoms:
```
RbVCu3Se4
1.0
6.1591 0.0000 0.0000
0.0000 6.1591 0.0000
0.0000 0.0000 6.1591
Rb V Cu Se
1 1 3 4
Cartesian
0.0000 0.0000 0.0000
3.0796 3.0796 3.0796
0.0000 3.0796 3.0796
3.0796 0.0000 3.0796
3.0796 3.0796 0.0000
1.7383 1.7383 4.4208
1.7383 4.4208 1.7383
4.4208 1.7383 1.7383
4.4208 4.4208 4.4208
```

Principal peaks in the range 2θ from 5° to 70°, low angle first:
2θ (°)	intensity
14.4	19
20.4	11
25.0	100
35.7	14
41.5	97
49.1	40
60.1	13
66.1	12

---

For RbZrCu3Se4, DFT lattice parameters and positions (GGA-PBE) gives the calculated PXRD pattern in this record (Cu Kα (weighted mean of Kα1 and Kα2)).

Cell and atoms:
```
RbZrCu3Se4
1.0
6.3489 0.0000 0.0000
0.0000 6.3489 0.0000
0.0000 0.0000 6.3489
Rb Zr Cu Se
1 1 3 4
Cartesian
0.0000 0.0000 0.0000
3.1745 3.1745 3.1745
0.0000 3.1745 3.1745
3.1745 0.0000 3.1745
3.1745 3.1745 0.0000
1.7305 1.7305 4.6184
1.7305 4.6184 1.7305
4.6184 1.7305 1.7305
4.6184 4.6184 4.6184
```

Principal peaks in the range 2θ from 5° to 70°, low angle first:
2θ (°)	intensity
13.9	23
19.8	19
24.3	75
34.6	12
40.2	100
47.5	32
58.1	15
63.9	11

---

For RbTaCu2Te4, DFT lattice parameters and positions (GGA-PBE) gives the calculated PXRD pattern in this record (Cu Kα (weighted mean of Kα1 and Kα2)).

Cell and atoms:
```
RbTaCu2Te4
1.0
8.4396 0.0000 0.0000
0.0000 10.4605 3.0520
0.0000 -10.4605 3.0520
Rb Ta Cu Te
2 2 4 8
Cartesian
2.1099 -6.5588 3.0520
6.3297 6.5588 3.0520
2.1099 -2.1843 1.4823
6.3297 2.1843 1.4823
0.0000 0.0000 1.5495
2.1099 -2.1982 4.5309
4.2198 0.0000 1.5495
6.3297 2.1982 4.5309
0.0579 2.2094 3.0028
2.1099 6.1079 3.0234
2.1099 -0.0133 6.0406
4.1619 2.2094 3.0028
4.2776 -2.2094 3.0028
6.3297 -6.1079 3.0234
6.3297 0.0133 6.0406
8.3817 -2.2094 3.0028
```

Principal peaks in the range 2θ from 5° to 70°, low angle first:
2θ (°)	intensity
8.5	42
13.5	74
25.8	100
26.0	94
40.3	90
42.9	32
44.9	49
50.7	31

---

For RbTaCu2Te4, DFT lattice parameters and positions (GGA-PBE) gives the calculated PXRD pattern in this record (Cu Kα (weighted mean of Kα1 and Kα2)).

Cell and atoms:
```
RbTaCu2Te4
1.0
8.2506 0.0000 0.0000
0.0000 20.4924 0.0000
0.0000 0.0000 6.0243
Rb Ta Cu Te
4 4 8 16
Cartesian
2.0091 1.2999 0.0000
2.1163 11.5461 3.0121
6.1344 8.9463 0.0000
6.2416 19.1925 3.0121
2.0186 7.2717 4.5596
2.1067 17.5179 1.5474
6.1440 2.9745 4.5596
6.2320 13.2206 1.5474
0.0293 15.3863 1.4814
2.0204 7.2778 1.5505
2.1049 17.5240 4.5626
4.0960 5.1401 4.4936
4.1546 15.3523 1.4814
6.1457 2.9684 1.5505
6.2302 13.2146 4.5626
8.2214 5.1061 4.4936
0.0482 2.9237 3.0397
0.1353 13.2111 0.0263
1.9895 9.4257 0.0398
2.0330 5.1053 0.0897
2.0923 15.3515 3.1018
2.1358 19.6719 3.0519
3.9900 2.9649 3.0384
4.0771 13.1699 0.0275
4.1735 7.3225 3.0397
4.2606 17.5275 0.0263
6.1148 0.8205 0.0398
6.1583 5.1409 0.0897
6.2176 15.3871 3.1018
6.2612 11.0667 3.0519
8.1153 7.2813 3.0384
8.2024 17.5687 0.0275
```

Principal peaks in the range 2θ from 5° to 70°, low angle first:
2θ (°)	intensity
8.6	40
13.8	68
26.3	100
26.5	92
41.1	92
43.9	31
45.8	46
51.9	29

---

For Cu2Re3S6, DFT lattice parameters and positions (GGA-PBE) gives the calculated PXRD pattern in this record (Cu Kα (weighted mean of Kα1 and Kα2)).

Cell and atoms:
```
Cu2Re3S6
1.0
8.0168 -4.7879 0.0000
8.0168 4.7879 0.0000
-0.5248 0.0000 11.7615
Cu Re S
8 12 24
Cartesian
7.6233 3.8932 8.8211
6.2160 2.6502 7.0487
9.0305 2.6502 10.5936
7.6233 0.9976 8.8211
7.8856 -0.9976 2.9404
6.4784 -2.6502 1.1679
9.2928 -2.6502 4.7128
7.8856 -3.8932 2.9404
2.0345 1.3365 11.3661
4.3467 1.7442 10.2536
4.7481 1.0071 1.0165
2.2969 -1.3365 5.4853
4.4858 -1.0071 6.8973
4.6091 -1.7442 4.3728
10.8998 1.7442 7.3887
11.0231 1.0071 4.8643
13.2120 1.3365 6.2762
10.7608 -1.0071 10.7450
11.1622 -1.7443 1.5079
13.4744 -1.3365 0.3954
0.4327 0.1380 5.0125
0.1703 -0.1380 10.8932
5.2343 2.6694 2.6725
2.5078 0.7764 1.9473
3.8827 0.4549 5.0692
2.2454 -0.7764 7.8280
6.3146 1.5248 11.6811
5.5194 0.9079 8.2005
3.6203 -0.4550 10.9500
10.5370 2.6694 3.2082
8.9319 1.5248 5.9611
5.7818 -0.9079 2.3198
9.7271 0.9079 9.4417
6.5770 -1.5248 5.8004
4.9719 -2.6694 8.5533
11.8886 0.4550 0.8115
9.9895 -0.9079 3.5610
9.1943 -1.5248 0.0804
13.2635 0.7764 3.9335
11.6262 -0.4549 6.6923
13.0011 -0.7764 9.8142
10.2746 -2.6694 9.0890
15.3386 0.1380 0.8683
15.0762 -0.1380 6.7490
```

Principal peaks in the range 2θ from 5° to 70°, low angle first:
2θ (°)	intensity
11.0	45
13.0	33
13.3	100
15.1	10
18.3	14
32.9	10
36.6	12
43.8	12